1.
Simulated powder diffractogram
Compound: Sc2TlCu3Se5
Radiation: Cu Kα X-rays
Structure: the PBE geometry in Alexandria
Lines closer than 0.1° are merged.

Structure:
```
data_Sc2TlCu3Se5
_cell_length_a 3.9974
_cell_length_b 14.2986
_cell_length_c 16.3966
_cell_angle_alpha 90.00
_cell_angle_beta 90.00
_cell_angle_gamma 90.00
_symmetry_space_group_name_H-M 'C m c m'
_symmetry_Int_Tables_number 63
_symmetry_space_group_name_Hall '-C 2c 2'
loop_
_atom_site_label
_atom_site_fract_x
_atom_site_fract_y
_atom_site_fract_z
_atom_site_occupancy
Sc1 0.0000 0.1909 0.0931 1
Tl1 0.0000 0.0637 0.7500 1
Cu1 0.0000 0.3445 0.7500 1
Cu2 0.0000 0.4147 0.0317 1
Se1 0.0000 0.1730 0.5716 1
Se2 0.0000 0.2503 0.2500 1
Se3 0.0000 0.4382 0.6176 1
```

Principal peaks in the range 2θ from 10° to 90°, in order of falling intensity:
2θ/deg  d/Å  intensity  (hkl)
29.67  3.011  100  1 3 1
48.96  1.861  62  1 3 7
25.55  3.486  59  1 1 2
45.37  1.999  49  2 0 0
29.87  2.992  49  0 4 3
31.17  2.869  49  1 3 2
32.77  2.733  47  0 0 6
55.29  1.661  43  2 4 3
29.98  2.981  40  0 2 5
36.63  2.454  38  1 3 4



2.
Simulated powder diffractogram
Compound: Zr2ScCuSe
Radiation: Cu Kα X-rays
Structure: the PBE geometry in Alexandria
Lines closer than 0.1° are merged.

Structure:
```
data_Zr2ScCuSe
_cell_length_a 5.0804
_cell_length_b 5.0804
_cell_length_c 4.8562
_cell_angle_alpha 90.00
_cell_angle_beta 90.00
_cell_angle_gamma 90.00
_symmetry_space_group_name_H-M 'P 4/m m m'
_symmetry_Int_Tables_number 123
_symmetry_space_group_name_Hall '-P 4 2'
loop_
_atom_site_label
_atom_site_fract_x
_atom_site_fract_y
_atom_site_fract_z
_atom_site_occupancy
Zr1 0.0000 0.5000 0.0000 1
Sc1 0.0000 0.0000 0.0000 1
Cu1 0.5000 0.5000 0.5000 1
Se1 0.0000 0.0000 0.5000 1
```

Principal peaks in the range 2θ from 10° to 90°, in order of falling intensity:
2θ/deg  d/Å  intensity  (hkl)
30.96  2.888  100  1 1 1
35.33  2.540  60  2 0 0
52.11  1.755  38  2 0 2
60.72  1.525  28  3 1 1
37.02  2.428  26  0 0 2
50.83  1.796  20  2 2 0
64.53  1.444  19  2 2 2
62.98  1.476  12  1 1 3
85.07  1.140  11  3 1 3
85.47  1.136  9  4 2 0



3.
Simulated powder diffractogram
Compound: Sc6Cu5Si
Radiation: Cu Kα X-rays
Structure: the PBE geometry in Alexandria
Lines closer than 0.1° are merged.

Structure:
```
data_Sc6Cu5Si
_cell_length_a 4.6086
_cell_length_b 13.8459
_cell_length_c 6.5351
_cell_angle_alpha 90.00
_cell_angle_beta 90.00
_cell_angle_gamma 90.00
_symmetry_space_group_name_H-M 'C m m m'
_symmetry_Int_Tables_number 65
_symmetry_space_group_name_Hall '-C 2 2'
loop_
_atom_site_label
_atom_site_fract_x
_atom_site_fract_y
_atom_site_fract_z
_atom_site_occupancy
Sc1 0.0000 0.0000 0.2492 1
Sc2 0.0000 0.3330 0.2476 1
Cu1 0.0000 0.1663 0.0000 1
Cu2 0.0000 0.1688 0.5000 1
Cu3 0.0000 0.5000 0.0000 1
Si1 0.0000 0.5000 0.5000 1
```

Principal peaks in the range 2θ from 10° to 90°, in order of falling intensity:
2θ/deg  d/Å  intensity  (hkl)
39.04  2.307  100  2 0 0
70.68  1.333  20  2 0 4
56.43  1.631  10  2 6 0
70.78  1.331  10  3 3 2
83.83  1.154  8  2 6 4
56.31  1.634  5  0 0 4
27.33  3.263  3  0 0 2
84.00  1.152  2  4 0 0
63.76  1.460  1  1 3 4
48.31  1.884  1  2 0 2



4.
Simulated powder diffractogram
Compound: ScCu12Si4
Radiation: Cu Kα X-rays
Structure: the PBE geometry in Alexandria
Lines closer than 0.1° are merged.

Structure:
```
data_ScCu12Si4
_cell_length_a 8.0627
_cell_length_b 8.0627
_cell_length_c 8.0627
_cell_angle_alpha 90.00
_cell_angle_beta 90.00
_cell_angle_gamma 90.00
_symmetry_space_group_name_H-M 'I m -3'
_symmetry_Int_Tables_number 204
_symmetry_space_group_name_Hall '-I 2 2 3'
loop_
_atom_site_label
_atom_site_fract_x
_atom_site_fract_y
_atom_site_fract_z
_atom_site_occupancy
Sc1 0.0000 0.0000 0.0000 1
Cu1 0.0000 0.1544 0.3495 1
Si1 0.2500 0.2500 0.2500 1
```

Principal peaks in the range 2θ from 10° to 90°, in order of falling intensity:
2θ/deg  d/Å  intensity  (hkl)
35.20  2.550  100  3 1 0
41.93  2.155  32  3 2 1
58.36  1.581  30  4 1 3
50.63  1.803  14  4 2 0
55.86  1.646  12  4 2 2
80.86  1.189  12  6 3 1
70.02  1.344  9  6 0 0
67.77  1.383  7  5 0 3
53.29  1.719  6  3 3 2
47.87  1.900  5  3 3 0